This entry pairs a crystal structure of AcH4F5 with its calculated powder X-ray diffraction pattern. Radiation: λ = 1.5418 Å (Cu Kα). Structure: a GGA-PBE-relaxed structure.

Cell and atoms:
abc: 4.0659 5.0134 7.4419
angles: 76.78 79.75 89.77
Space group P1 (No. 1)
One atom of each set of equivalent atoms:
Ac1 0.0000 0.0000 0.0000 (multiplicity 1)
H1 0.5351 0.6501 0.8071 (multiplicity 1)
H2 0.5530 0.7984 0.7532 (multiplicity 1)
H3 0.9002 0.4135 0.2897 (multiplicity 1)
H4 0.9944 0.1957 0.5489 (multiplicity 1)
F1 0.1014 0.0532 0.6385 (multiplicity 1)
F2 0.4394 0.8708 0.1866 (multiplicity 1)
F3 0.5440 0.2325 0.8629 (multiplicity 1)
F4 0.8388 0.3872 0.4333 (multiplicity 1)
F5 0.9681 0.4546 0.1042 (multiplicity 1)

Peak list (12 most intense, 2θ = 10–80°, most intense first)
two_theta  I_rel  index
12.43  100  0 0 1
18.19  42  0 1 0
19.53  41  0 1 1
22.24  28  1 0 0
23.45  19  1 0 1
25.00  19  0 0 2
27.37  16  0 1 2
24.39  16  0 1 -1
29.43  13  1 1 0
36.72  12  1 0 -2
31.10  12  1 -1 1
30.42  12  1 0 2